[1]
Simulated powder diffractogram of Li2BeSiO4 for Cu Kα, from a crystal structure in the Materials Project, relaxed with GGA-PBE.
No peak broadening, texture or thermal motion is included.

Structure:
Cell: 4.7438 4.9809 7.7565 Å, 90.00 127.70 90.00°
Space group Pc (No. 7)
One atom of each set of equivalent atoms:
1 Li 0.0000 0.1645 0.0000 x2
2 Li 0.2520 0.3253 0.7521 x2
3 Be 0.4906 0.1801 0.5009 x2
4 Si 0.7393 0.3201 0.2498 x2
5 O 0.1132 0.1999 0.4695 x2
6 O 0.4249 0.2996 0.2808 x2
7 O 0.6142 0.1410 0.0339 x2
8 O 0.7988 0.3617 0.7189 x2

Peak list (10 most intense, 5 to 70 degrees two-theta, in order of rising 2θ)
2θ/deg	d (Å)	I/Imax	hkl
23.00	3.867	92	0 1 1
23.71	3.753	100	1 0 -2
25.94	3.435	26	1 1 -1
34.32	2.613	69	0 1 2
36.06	2.490	45	0 2 0
37.93	2.372	64	2 0 -2
39.37	2.288	49	1 1 1
52.06	1.757	28	2 1 -4
63.73	1.460	32	0 3 2
69.48	1.353	31	3 1 -1

---

[2]
Simulated powder diffractogram of CrSb2 for Cu Kα, from a crystal structure in the Materials Project, relaxed with GGA-PBE.
No peak broadening, texture or thermal motion is included.

Structure:
Cell: 6.5278 6.5278 5.7705 Å, 90.00 90.00 90.00°
Space group I4/mcm (No. 140)
One atom of each set of equivalent atoms:
1 Cr 0.0000 0.0000 0.2500 x4
2 Sb 0.1593 0.3407 0.0000 x8

Peak list (10 most intense, 5 to 70 degrees two-theta, in order of rising 2θ)
2θ/deg	d (Å)	I/Imax	hkl
30.99	2.885	17	0 0 2
34.43	2.605	100	2 1 1
36.73	2.447	19	1 1 2
41.79	2.162	20	2 0 2
43.86	2.064	24	3 1 0
57.37	1.606	22	2 1 3
60.14	1.539	5	3 3 0
60.65	1.527	13	4 1 1
65.74	1.420	9	4 0 2
69.20	1.358	15	3 3 2